# Ho2MgSe4
Calculated X-ray powder pattern, copper Kα. Input: DFT lattice parameters and positions (GGA-PBE).

Principal peaks in the range 2θ = 10–90°, low angle first:
2θ 13.14, I = 64.5; 2θ 25.31, I = 53.0; 2θ 30.64, I = 100.0; 2θ 40.15, I = 26.6; 2θ 43.89, I = 86.4; 2θ 54.48, I = 25.7; 2θ 72.44, I = 32.5; 2θ 80.67, I = 28.3

Crystal structure
a = 8.2517 Å, b = 8.2517 Å, c = 8.2517 Å
α = 60.00°, β = 60.00°, γ = 60.00°
Sites, in units of the cell vectors:
Ho 0.0000 0.0000 0.0000
Ho 0.0000 0.0000 0.5000
Ho 0.0000 0.5000 0.0000
Ho 0.5000 0.0000 0.0000
Mg 0.3750 0.3750 0.3750
Mg 0.6250 0.6250 0.6250
Se 0.2352 0.7549 0.7549
Se 0.2451 0.2451 0.2451
Se 0.2451 0.2451 0.7648
Se 0.2451 0.7648 0.2451
Se 0.7549 0.2352 0.7549
Se 0.7549 0.7549 0.2352
Se 0.7549 0.7549 0.7549
Se 0.7648 0.2451 0.2451

---

# Pu2Si4Tc3
Calculated X-ray powder pattern, copper Kα. Input: DFT lattice parameters and positions (GGA-PBE).

Principal peaks in the range 2θ = 10–90°, low angle first:
2θ 19.84, I = 52.3; 2θ 28.88, I = 51.0; 2θ 30.54, I = 59.9; 2θ 32.68, I = 73.3; 2θ 36.02, I = 80.4; 2θ 37.86, I = 100.0; 2θ 39.67, I = 61.0; 2θ 42.68, I = 55.9

Crystal structure
a = 6.6525 Å, b = 8.1174 Å, c = 5.5530 Å
α = 90.00°, β = 105.06°, γ = 90.00°
Sites, in units of the cell vectors:
Pu 0.2302 0.0533 0.0766
Pu 0.2302 0.4467 0.5766
Pu 0.7698 0.5533 0.4234
Pu 0.7698 0.9467 0.9234
Si 0.0836 0.7491 0.2769
Si 0.0836 0.7509 0.7769
Si 0.3664 0.1030 0.6288
Si 0.3664 0.3970 0.1288
Si 0.6336 0.6030 0.8712
Si 0.6336 0.8970 0.3712
Si 0.9164 0.2491 0.2231
Si 0.9164 0.2509 0.7231
Tc 0.0000 0.0000 0.5000
Tc 0.0000 0.5000 0.0000
Tc 0.3984 0.6942 0.1220
Tc 0.3984 0.8058 0.6220
Tc 0.6016 0.1942 0.3780
Tc 0.6016 0.3058 0.8780

---

# Mg3Al9FeSi5
Calculated X-ray powder pattern, copper Kα. Input: DFT lattice parameters and positions (GGA-PBE).

Principal peaks in the range 2θ = 10–90°, low angle first:
2θ 11.24, I = 25.4; 2θ 35.39, I = 82.2; 2θ 38.81, I = 100.0; 2θ 41.59, I = 32.9; 2θ 46.14, I = 30.4; 2θ 47.47, I = 42.3; 2θ 47.84, I = 50.3; 2θ 76.17, I = 28.0

Crystal structure
a = 6.6345 Å, b = 6.6345 Å, c = 7.8691 Å
α = 90.00°, β = 90.00°, γ = 120.00°
Sites, in units of the cell vectors:
Mg 0.0000 0.4183 0.0000
Mg 0.4183 0.0000 0.0000
Mg 0.5817 0.5817 0.0000
Al 0.0000 0.3762 0.5000
Al 0.0000 0.7507 0.2770
Al 0.0000 0.7507 0.7230
Al 0.2493 0.2493 0.2770
Al 0.2493 0.2493 0.7230
Al 0.3762 0.0000 0.5000
Al 0.6238 0.6238 0.5000
Al 0.7507 0.0000 0.2770
Al 0.7507 0.0000 0.7230
Fe 0.0000 0.0000 0.5000
Si 0.0000 0.0000 0.0000
Si 0.3333 0.6667 0.2621
Si 0.3333 0.6667 0.7379
Si 0.6667 0.3333 0.2621
Si 0.6667 0.3333 0.7379